Starting from a DFT-relaxed cell (PBE, Alexandria), the X-ray powder pattern of Na2PmTi2O7 was computed for a wavelength of 1.5418 Å.
Intensities are scaled so that the largest is 100.

Cell and atoms:
a = 10.6206 Å, b = 10.6206 Å, c = 10.6206 Å
α = 159.17°, β = 159.17°, γ = 29.63°
Sites, in units of the cell vectors:
Na  0.1960  0.1960  0.0000
Na  0.8040  0.8040  0.0000
Pm  0.0000  0.0000  0.0000
Ti  0.3948  0.3948  0.0000
Ti  0.6052  0.6052  0.0000
O  0.0857  0.5857  0.5000
O  0.3083  0.3083  0.0000
O  0.4143  0.9143  0.5000
O  0.5000  0.5000  0.0000
O  0.5857  0.0857  0.5000
O  0.6917  0.6917  0.0000
O  0.9143  0.4143  0.5000

Most intense lines, 10° ≤ 2θ ≤ 90°, sorted by position:
| 2θ (°) | Rel. int. |
| --- | --- |
| 26.62 | 69 |
| 31.90 | 100 |
| 32.99 | 60 |
| 37.47 | 19 |
| 42.50 | 32 |
| 44.10 | 23 |
| 47.34 | 44 |
| 56.16 | 27 |
| 58.23 | 36 |
| 66.69 | 24 |